No. 1
Computed XRD peak list of RbMg3CdSb3 for copper Kα, from DFT lattice parameters and positions (PBE).
Intensities are scaled so that the largest is 100.

Principal peaks in the range 10° ≤ 2θ ≤ 90°, sorted by position:
d = 4.359 Å, 2θ = 20.4°, I = 20.9
d = 3.632 Å, 2θ = 24.5°, I = 100.0
d = 2.504 Å, 2θ = 35.9°, I = 43.7
d = 2.370 Å, 2θ = 38.0°, I = 20.1
d = 2.357 Å, 2θ = 38.2°, I = 19.8
d = 1.978 Å, 2θ = 45.9°, I = 21.9

Structural model:
a = 4.715 Å, b = 4.740 Å, c = 11.341 Å
α = 90.00°, β = 90.00°, γ = 90.00°
Atoms (fractional coordinates):
Rb1 0.000 0.000 0.000
Mg1 0.000 0.500 0.666
Mg2 0.500 0.000 0.339
Mg3 0.500 0.000 0.666
Cd1 0.000 0.500 0.338
Sb1 0.000 0.000 0.506
Sb2 0.500 0.500 0.194
Sb3 0.500 0.500 0.806

---

No. 2
Computed XRD peak list of Hf2Sc4C3S3 for copper Kα, from DFT lattice parameters and positions (PBE).
Intensities are scaled so that the largest is 100.

Principal peaks in the range 10° ≤ 2θ ≤ 90°, sorted by position:
d = 5.082 Å, 2θ = 17.5°, I = 36.7
d = 4.934 Å, 2θ = 18.0°, I = 25.2
d = 2.963 Å, 2θ = 30.2°, I = 27.3
d = 2.877 Å, 2θ = 31.1°, I = 21.4
d = 2.379 Å, 2θ = 37.8°, I = 100.0
d = 1.711 Å, 2θ = 53.6°, I = 27.8

Structural model:
a = 5.926 Å, b = 5.926 Å, c = 12.453 Å
α = 103.81°, β = 103.81°, γ = 60.03°
Atoms (fractional coordinates):
Hf1 0.033 0.863 0.599
Hf2 0.137 0.967 0.901
Hf3 0.863 0.033 0.099
Hf4 0.967 0.137 0.401
Sc1 0.200 0.372 0.104
Sc2 0.302 0.462 0.396
Sc3 0.372 0.200 0.604
Sc4 0.462 0.302 0.896
Sc5 0.538 0.698 0.104
Sc6 0.628 0.800 0.396
Sc7 0.698 0.538 0.604
Sc8 0.800 0.628 0.896
C1 0.000 0.500 0.500
C2 0.160 0.679 0.000
C3 0.321 0.840 0.500
C4 0.500 0.000 0.000
C5 0.679 0.160 0.500
C6 0.840 0.321 0.000
S1 0.084 0.247 0.750
S2 0.247 0.084 0.250
S3 0.415 0.585 0.750
S4 0.585 0.415 0.250
S5 0.753 0.916 0.750
S6 0.916 0.753 0.250

---

No. 3
Computed XRD peak list of RbPm2Pt2 for copper Kα, from DFT lattice parameters and positions (PBE).
Intensities are scaled so that the largest is 100.

Principal peaks in the range 10° ≤ 2θ ≤ 90°, sorted by position:
d = 6.859 Å, 2θ = 12.9°, I = 100.0
d = 3.355 Å, 2θ = 26.6°, I = 64.4
d = 3.121 Å, 2θ = 28.6°, I = 36.1
d = 2.577 Å, 2θ = 34.8°, I = 77.9
d = 2.468 Å, 2θ = 36.4°, I = 45.8
d = 2.076 Å, 2θ = 43.6°, I = 39.7

Structural model:
a = 7.698 Å, b = 7.698 Å, c = 6.972 Å
α = 90.00°, β = 90.00°, γ = 54.00°
Atoms (fractional coordinates):
Rb1 0.183 0.817 0.750
Rb2 0.817 0.183 0.250
Pm1 0.152 0.495 0.250
Pm2 0.495 0.152 0.750
Pm3 0.505 0.848 0.250
Pm4 0.848 0.505 0.750
Pt1 0.189 0.189 0.000
Pt2 0.189 0.189 0.500
Pt3 0.811 0.811 0.000
Pt4 0.811 0.811 0.500

---

No. 4
Computed XRD peak list of Gd2HoCo2B2P3 for copper Kα, from DFT lattice parameters and positions (PBE).
Intensities are scaled so that the largest is 100.

Principal peaks in the range 10° ≤ 2θ ≤ 90°, sorted by position:
d = 3.423 Å, 2θ = 26.0°, I = 100.0
d = 2.743 Å, 2θ = 32.6°, I = 50.3
d = 2.728 Å, 2θ = 32.8°, I = 45.8
d = 2.190 Å, 2θ = 41.2°, I = 54.0
d = 1.939 Å, 2θ = 46.8°, I = 42.9
d = 1.581 Å, 2θ = 58.4°, I = 34.0

Structural model:
a = 11.250 Å, b = 11.250 Å, c = 11.250 Å
α = 160.15°, β = 160.15°, γ = 28.22°
Atoms (fractional coordinates):
Gd1 0.138 0.138 0.000
Gd2 0.862 0.862 0.000
Ho1 0.500 0.500 0.000
Co1 0.250 0.750 0.500
Co2 0.750 0.250 0.500
B1 0.285 0.285 0.000
B2 0.715 0.715 0.000
P1 0.000 0.000 0.000
P2 0.375 0.375 0.000
P3 0.625 0.625 0.000

---

No. 5
Computed XRD peak list of Cu7Ag3 for copper Kα, from DFT lattice parameters and positions (PBE).
Intensities are scaled so that the largest is 100.

Principal peaks in the range 10° ≤ 2θ ≤ 90°, sorted by position:
d = 2.194 Å, 2θ = 41.1°, I = 100.0
d = 2.188 Å, 2θ = 41.3°, I = 33.5
d = 1.904 Å, 2θ = 47.8°, I = 21.5
d = 1.897 Å, 2θ = 48.0°, I = 41.4
d = 1.342 Å, 2θ = 70.1°, I = 18.0
d = 1.145 Å, 2θ = 84.6°, I = 17.2

Structural model:
a = 7.105 Å, b = 7.105 Å, c = 4.662 Å
α = 96.34°, β = 96.34°, γ = 141.81°
Atoms (fractional coordinates):
Cu1 0.000 0.000 0.000
Cu2 0.100 0.900 0.500
Cu3 0.410 0.590 0.000
Cu4 0.509 0.491 0.500
Cu5 0.708 0.292 0.500
Cu6 0.815 0.185 0.000
Cu7 0.912 0.088 0.500
Ag1 0.207 0.793 0.000
Ag2 0.313 0.687 0.500
Ag3 0.604 0.396 0.000

---

No. 6
Computed XRD peak list of Li4GaAsAu2 for copper Kα, from DFT lattice parameters and positions (PBE).
Intensities are scaled so that the largest is 100.

Principal peaks in the range 10° ≤ 2θ ≤ 90°, sorted by position:
d = 3.606 Å, 2θ = 24.7°, I = 100.0
d = 2.228 Å, 2θ = 40.5°, I = 52.4
d = 2.170 Å, 2θ = 41.6°, I = 24.9
d = 1.934 Å, 2θ = 47.0°, I = 17.1
d = 1.859 Å, 2θ = 49.0°, I = 32.5
d = 1.264 Å, 2θ = 75.2°, I = 17.2

Structural model:
a = 4.340 Å, b = 4.340 Å, c = 6.480 Å
α = 90.00°, β = 90.00°, γ = 90.00°
Atoms (fractional coordinates):
Li1 0.000 0.000 0.000
Li2 0.000 0.500 0.747
Li3 0.500 0.000 0.253
Li4 0.500 0.500 0.500
Ga1 0.500 0.500 0.000
As1 0.000 0.000 0.500
Au1 0.000 0.500 0.235
Au2 0.500 0.000 0.765

---

No. 7
Computed XRD peak list of LaPr2Ni3Pt6 for copper Kα, from DFT lattice parameters and positions (PBE).
Intensities are scaled so that the largest is 100.

Principal peaks in the range 10° ≤ 2θ ≤ 90°, sorted by position:
d = 4.221 Å, 2θ = 21.0°, I = 45.2
d = 2.874 Å, 2θ = 31.1°, I = 48.9
d = 2.355 Å, 2θ = 38.2°, I = 100.0
d = 2.293 Å, 2θ = 39.3°, I = 100.0
d = 2.143 Å, 2θ = 42.2°, I = 59.7
d = 1.366 Å, 2θ = 68.7°, I = 39.5

Structural model:
a = 9.012 Å, b = 9.012 Å, c = 9.012 Å
α = 35.29°, β = 35.29°, γ = 35.29°
Atoms (fractional coordinates):
La1 0.000 0.000 0.000
Pr1 0.141 0.141 0.141
Pr2 0.859 0.859 0.859
Ni1 0.333 0.333 0.333
Ni2 0.500 0.500 0.500
Ni3 0.667 0.667 0.667
Pt1 0.082 0.582 0.582
Pt2 0.418 0.418 0.918
Pt3 0.418 0.918 0.418
Pt4 0.582 0.082 0.582
Pt5 0.582 0.582 0.082
Pt6 0.918 0.418 0.418

---

No. 8
Computed XRD peak list of Cu11Ag9 for copper Kα, from DFT lattice parameters and positions (PBE).
Intensities are scaled so that the largest is 100.

Principal peaks in the range 10° ≤ 2θ ≤ 90°, sorted by position:
d = 2.258 Å, 2θ = 39.9°, I = 51.4
d = 2.252 Å, 2θ = 40.0°, I = 48.3
d = 2.226 Å, 2θ = 40.5°, I = 100.0
d = 1.985 Å, 2θ = 45.7°, I = 68.4
d = 1.859 Å, 2θ = 49.0°, I = 25.5
d = 1.183 Å, 2θ = 81.3°, I = 22.5

Structural model:
a = 9.507 Å, b = 9.507 Å, c = 11.346 Å
α = 98.73°, β = 98.73°, γ = 16.81°
Atoms (fractional coordinates):
Cu1 0.000 0.000 0.000
Cu2 0.001 0.001 0.765
Cu3 0.199 0.199 0.558
Cu4 0.204 0.204 0.812
Cu5 0.400 0.400 0.353
Cu6 0.403 0.403 0.092
Cu7 0.591 0.591 0.132
Cu8 0.593 0.593 0.900
Cu9 0.604 0.604 0.419
Cu10 0.787 0.787 0.705
Cu11 0.798 0.798 0.952
Ag1 0.002 0.002 0.250
Ag2 0.186 0.186 0.292
Ag3 0.194 0.194 0.042
Ag4 0.396 0.396 0.856
Ag5 0.397 0.397 0.615
Ag6 0.604 0.604 0.667
Ag7 0.795 0.795 0.450
Ag8 0.806 0.806 0.197
Ag9 0.999 0.999 0.502

---

No. 9
Computed XRD peak list of Y3Mg3AlCuAg for copper Kα, from DFT lattice parameters and positions (PBE).
Intensities are scaled so that the largest is 100.

Principal peaks in the range 10° ≤ 2θ ≤ 90°, sorted by position:
d = 3.793 Å, 2θ = 23.5°, I = 29.9
d = 2.797 Å, 2θ = 32.0°, I = 92.2
d = 2.574 Å, 2θ = 34.9°, I = 100.0
d = 2.483 Å, 2θ = 36.2°, I = 31.7
d = 2.190 Å, 2θ = 41.2°, I = 34.3
d = 2.130 Å, 2θ = 42.4°, I = 32.0

Structural model:
a = 7.586 Å, b = 7.586 Å, c = 4.142 Å
α = 90.00°, β = 90.00°, γ = 120.00°
Atoms (fractional coordinates):
Y1 0.073 0.739 0.000
Y2 0.261 0.334 0.000
Y3 0.666 0.927 0.000
Mg1 0.426 0.094 0.500
Mg2 0.668 0.574 0.500
Mg3 0.906 0.332 0.500
Al1 0.000 0.000 0.500
Cu1 0.667 0.333 0.000
Ag1 0.333 0.667 0.500

---

No. 10
Computed XRD peak list of Si2Ni3Sn2 for copper Kα, from DFT lattice parameters and positions (PBE).
Intensities are scaled so that the largest is 100.

Principal peaks in the range 10° ≤ 2θ ≤ 90°, sorted by position:
d = 3.325 Å, 2θ = 26.8°, I = 85.6
d = 2.254 Å, 2θ = 40.0°, I = 100.0
d = 2.000 Å, 2θ = 45.4°, I = 93.8
d = 1.958 Å, 2θ = 46.4°, I = 44.4
d = 1.496 Å, 2θ = 62.0°, I = 27.2
d = 1.198 Å, 2θ = 80.1°, I = 26.5

Structural model:
a = 8.244 Å, b = 8.244 Å, c = 8.244 Å
α = 28.07°, β = 28.07°, γ = 28.07°
Atoms (fractional coordinates):
Si1 0.000 0.000 0.000
Si2 0.500 0.500 0.500
Ni1 0.142 0.142 0.142
Ni2 0.646 0.646 0.646
Ni3 0.859 0.859 0.859
Sn1 0.257 0.257 0.257
Sn2 0.750 0.750 0.750

---

No. 11
Computed XRD peak list of Cu17Sb for copper Kα, from DFT lattice parameters and positions (PBE).
Intensities are scaled so that the largest is 100.

Principal peaks in the range 10° ≤ 2θ ≤ 90°, sorted by position:
d = 2.207 Å, 2θ = 40.9°, I = 18.4
d = 2.121 Å, 2θ = 42.6°, I = 25.0
d = 2.078 Å, 2θ = 43.5°, I = 100.0
d = 2.060 Å, 2θ = 44.0°, I = 23.3
d = 1.859 Å, 2θ = 49.0°, I = 20.4
d = 1.798 Å, 2θ = 50.8°, I = 35.0

Structural model:
a = 4.411 Å, b = 5.100 Å, c = 30.902 Å
α = 90.00°, β = 90.28°, γ = 90.00°
Atoms (fractional coordinates):
Cu1 0.000 0.000 0.000
Cu2 0.000 0.500 0.000
Cu3 0.001 0.004 0.202
Cu4 0.001 0.496 0.202
Cu5 0.163 0.750 0.269
Cu6 0.164 0.250 0.865
Cu7 0.167 0.250 0.067
Cu8 0.167 0.750 0.067
Cu9 0.168 0.750 0.865
Cu10 0.333 0.002 0.933
Cu11 0.333 0.498 0.933
Cu12 0.334 0.000 0.134
Cu13 0.334 0.500 0.134
Cu14 0.336 0.003 0.731
Cu15 0.336 0.497 0.731
Cu16 0.496 0.250 0.202
Cu17 0.498 0.250 0.799
Cu18 0.499 0.250 0.001
Cu19 0.501 0.750 0.999
Cu20 0.502 0.750 0.201
Cu21 0.504 0.750 0.798
Cu22 0.664 0.503 0.269
Cu23 0.664 0.997 0.269
Cu24 0.666 0.000 0.866
Cu25 0.666 0.500 0.866
Cu26 0.667 0.502 0.067
Cu27 0.667 0.998 0.067
Cu28 0.832 0.250 0.135
Cu29 0.833 0.250 0.933
Cu30 0.833 0.750 0.933
Cu31 0.836 0.750 0.135
Cu32 0.837 0.250 0.731
Cu33 0.999 0.504 0.798
Cu34 0.999 0.996 0.798
Sb1 0.164 0.250 0.293
Sb2 0.836 0.750 0.707

---

No. 12
Computed XRD peak list of DyZrI for copper Kα, from DFT lattice parameters and positions (PBE).
Intensities are scaled so that the largest is 100.

Principal peaks in the range 10° ≤ 2θ ≤ 90°, sorted by position:
d = 2.674 Å, 2θ = 33.5°, I = 100.0
d = 2.662 Å, 2θ = 33.7°, I = 85.1
d = 1.886 Å, 2θ = 48.2°, I = 30.7
d = 1.542 Å, 2θ = 60.0°, I = 50.2
d = 1.535 Å, 2θ = 60.3°, I = 13.8
d = 1.195 Å, 2θ = 80.4°, I = 15.1

Structural model:
a = 5.347 Å, b = 5.347 Å, c = 9.761 Å
α = 90.00°, β = 90.00°, γ = 120.00°
Atoms (fractional coordinates):
Dy1 0.000 0.000 0.000
Dy2 0.000 0.000 0.355
Dy3 0.333 0.667 0.597
Zr1 0.667 0.333 0.195
Zr2 0.667 0.333 0.488
Zr3 0.667 0.333 0.819
I1 0.000 0.000 0.679
I2 0.333 0.667 0.272
I3 0.333 0.667 0.906